Diffraction record for BaNpPH2O7. The X-ray powder pattern is calculated, not measured: it uses a cell relaxed with PBE and Cu Kα (weighted mean of Kα1 and Kα2).

Most intense lines, 10 to 80 degrees two-theta, in order of rising 2θ:
| 2θ/deg | d [Å] | I/Imax |
| --- | --- | --- |
| 13.0 | 6.820 | 64 |
| 13.6 | 6.506 | 54 |
| 20.9 | 4.252 | 33 |
| 24.3 | 3.666 | 57 |
| 26.1 | 3.410 | 53 |
| 26.8 | 3.324 | 51 |
| 28.3 | 3.155 | 100 |
| 30.2 | 2.957 | 83 |
| 30.5 | 2.928 | 52 |
| 47.4 | 1.917 | 33 |

Atomic structure:
Cell lengths 6.979, 7.119, 13.313 Å; angles 90.00, 102.23, 90.00 degrees
Positions (direct):
Ba  0.071  0.052  0.353
Ba  0.071  0.448  0.853
Ba  0.929  0.552  0.147
Ba  0.929  0.948  0.647
Np  0.474  0.231  0.179
Np  0.474  0.269  0.679
Np  0.526  0.731  0.321
Np  0.526  0.769  0.821
P  0.418  0.716  0.077
P  0.418  0.784  0.577
P  0.582  0.216  0.423
P  0.582  0.284  0.923
H  0.107  0.066  0.970
H  0.107  0.434  0.470
H  0.154  0.538  0.375
H  0.154  0.962  0.875
H  0.846  0.038  0.125
H  0.846  0.462  0.625
H  0.893  0.566  0.530
H  0.893  0.934  0.030
O  0.075  0.067  0.895
O  0.075  0.433  0.395
O  0.206  0.232  0.672
O  0.206  0.268  0.172
O  0.208  0.655  0.031
O  0.208  0.845  0.531
O  0.249  0.704  0.304
O  0.249  0.796  0.804
O  0.431  0.604  0.647
O  0.431  0.896  0.147
O  0.452  0.240  0.502
O  0.452  0.260  0.002
O  0.477  0.064  0.341
O  0.477  0.436  0.841
O  0.523  0.564  0.159
O  0.523  0.936  0.659
O  0.548  0.740  0.998
O  0.548  0.760  0.498
O  0.569  0.104  0.853
O  0.569  0.396  0.353
O  0.751  0.204  0.196
O  0.751  0.296  0.696
O  0.792  0.155  0.469
O  0.792  0.345  0.969
O  0.794  0.732  0.828
O  0.794  0.768  0.328
O  0.925  0.567  0.605
O  0.925  0.933  0.105